# Mg4Tl2Cd5
Computed powder diffraction line list, Cu Kα. Input: a GGA-PBE-relaxed structure.
Peak positions follow from Bragg's law for the DFT cell and can differ from measured ones.

Crystal structure
Cell: 7.554 3.248 10.767 Å, 90.00 95.10 90.00°
Space group P2/m (No. 10)
Unique sites:
Mg (0.192, 0.000, 0.384)
Mg (0.294, 0.000, 0.957)
Tl (0.056, 0.500, 0.146)
Cd (0.166, 0.500, 0.627)
Cd (0.472, 0.500, 0.206)
Cd (0.500, 0.500, 0.500)

Largest 8 diffraction maxima, by intensity, 2θ = 10–80°:
| (hkl) | 2θ (°) | I_rel |
| --- | --- | --- |
| 0 1 0 | 27.46 | 100.0 |
| 2 1 0 | 36.55 | 61.7 |
| 1 0 -4 | 34.50 | 52.8 |
| 3 1 -1 | 45.95 | 48.7 |
| 3 0 -1 | 36.05 | 40.4 |
| 2 0 0 | 23.65 | 36.6 |
| 2 0 3 | 36.17 | 36.5 |
| 0 1 3 | 37.41 | 35.3 |